Structure and computed powder diffraction line list of Mn3BeNi12 (a structure optimized by DFT (GGA-PBE); Cu Ka).

Cell and atoms:
```
data_Mn3BeNi12
_chemical_formula_sum 'Mn3 Be1 Ni12'
_space_group_name_H-M_alt 'P 1'
_space_group_IT_number 1
_space_group_name_Hall 'P 1'
_cell_length_a 3.545
_cell_length_b 3.545
_cell_length_c 14.021
_cell_angle_alpha 90.00
_cell_angle_beta 90.00
_cell_angle_gamma 90.00
loop_
_atom_site_label
_atom_site_fract_x
_atom_site_fract_y
_atom_site_fract_z
Mn1 0.000 0.000 0.000
Mn2 0.000 0.000 0.257
Mn3 0.000 0.000 0.743
Be1 0.000 0.000 0.500
Ni1 0.000 0.500 0.128
Ni2 0.000 0.500 0.384
Ni3 0.000 0.500 0.616
Ni4 0.000 0.500 0.872
Ni5 0.500 0.000 0.128
Ni6 0.500 0.000 0.384
Ni7 0.500 0.000 0.616
Ni8 0.500 0.000 0.872
Ni9 0.500 0.500 0.000
Ni10 0.500 0.500 0.256
Ni11 0.500 0.500 0.500
Ni12 0.500 0.500 0.744
```

Main lines, by angle (10 to 90 degrees two-theta):
2θ (°)  I (rel.)  h k l
25.1  2  1 0 0
36.0  2  1 0 4
40.9  2  1 1 3
44.4  100  1 1 4
45.3  1  0 0 7
51.6  32  2 0 0
52.2  14  0 0 8
75.9  9  2 2 0
76.4  16  2 0 8
85.5  2  1 1 11

---

Structure and computed powder diffraction line list of HgPd4Au8 (a structure optimized by DFT (GGA-PBE); Cu Ka).

Cell and atoms:
```
data_HgPd4Au8
_chemical_formula_sum 'Hg1 Pd4 Au8'
_space_group_name_H-M_alt 'P 1'
_space_group_IT_number 1
_space_group_name_Hall 'P 1'
_cell_length_a 4.804
_cell_length_b 3.015
_cell_length_c 16.480
_cell_angle_alpha 90.00
_cell_angle_beta 94.60
_cell_angle_gamma 90.00
loop_
_atom_site_label
_atom_site_fract_x
_atom_site_fract_y
_atom_site_fract_z
Hg1 0.000 0.000 0.000
Pd1 0.307 0.500 0.722
Pd2 0.441 0.000 0.436
Pd3 0.787 0.000 0.290
Pd4 0.970 0.500 0.860
Au1 0.125 0.000 0.579
Au2 0.291 0.500 0.295
Au3 0.391 0.000 0.147
Au4 0.472 0.000 0.868
Au5 0.621 0.500 0.577
Au6 0.804 0.000 0.721
Au7 0.887 0.500 0.146
Au8 0.938 0.500 0.432
```

Main lines, by angle (10 to 90 degrees two-theta):
2θ (°)  I (rel.)  h k l
37.3  37  1 1 2
38.3  100  0 0 7
39.6  58  1 1 3
39.9  18  2 0 -3
40.8  53  1 1 -4
44.0  24  1 1 -5
61.5  16  0 2 0
66.2  14  3 1 0
74.9  28  0 2 7
82.2  18  0 0 14